Diffraction record for MgH2. The XRD peak list is theoretical, not measured: it uses a crystal structure in the Materials Project, relaxed with PBE and λ = 1.5418 Å (Cu Kα).

abc: 4.512 4.512 3.016
angles: 90.00 90.00 90.00
Atoms (fractional coordinates):
Mg: 0.000 0.000 0.000
Mg: 0.500 0.500 0.500
H: 0.196 0.196 0.500
H: 0.304 0.696 0.000
H: 0.696 0.304 0.000
H: 0.804 0.804 0.500

Most intense lines, 2θ from 15° to 90°, sorted by position:
(1 1 0), 2θ = 27.97°, intensity 100
(1 0 1), 2θ = 35.81°, intensity 92
(2 0 0), 2θ = 39.96°, intensity 31
(2 1 1), 2θ = 54.74°, intensity 57
(2 2 0), 2θ = 57.80°, intensity 13
(3 1 0), 2θ = 65.41°, intensity 15
(1 1 2), 2θ = 68.87°, intensity 13
(3 0 1), 2θ = 69.89°, intensity 14
(2 0 2), 2θ = 75.90°, intensity 9
(3 2 1), 2θ = 83.67°, intensity 14